Structure and simulated powder XRD pattern of Li3Ti4O8 (a GGA-PBE-relaxed structure; Cu Kα).

Cell and atoms:
```
Li3Ti4O8
1.0
2.970 1.715 4.886
-2.970 1.715 4.886
0.000 -3.429 4.886
Li Ti O
3 4 8
Direct
0.000 0.500 0.500
0.500 0.000 0.500
0.500 0.500 0.000
0.000 0.000 0.000
0.000 0.000 0.500
0.000 0.500 0.000
0.500 0.000 0.000
0.221 0.763 0.763
0.237 0.237 0.779
0.237 0.779 0.237
0.244 0.244 0.244
0.756 0.756 0.756
0.763 0.221 0.763
0.763 0.763 0.221
0.779 0.237 0.237
```

Principal peaks in the range 2θ from 15° to 90°, by angle:
Position (°2θ)	d [Å]	I (rel.)
18.2	4.886	23.1
18.3	4.854	100.0
35.2	2.547	11.4
35.4	2.536	34.6
37.0	2.427	8.3
43.0	2.105	99.0
56.9	1.619	15.5
62.2	1.492	26.9
62.6	1.485	25.7
78.9	1.213	11.4